Cs2GaF6: calculated powder XRD pattern (Cu Kα (λ = 1.5418 Å)), based on the PBE geometry in Alexandria.
Lines closer than 0.1° are merged.

Main lines, sorted by position (10 to 90 degrees two-theta):
| h k l | 2θ (°) | I_rel |
| --- | --- | --- |
| 1 1 1 | 16.8 | 26.8 |
| 2 0 0 | 19.5 | 24.9 |
| 2 2 0 | 27.7 | 100.0 |
| 2 2 2 | 34.0 | 35.6 |
| 4 0 0 | 39.5 | 38.7 |
| 4 2 2 | 48.9 | 37.2 |

Cell and atoms:
```
data_Cs2GaF6
_symmetry_space_group_name_H-M 'F m -3 m'
_symmetry_Int_Tables_number 225
_symmetry_space_group_name_Hall '-F 4 2 3'
_cell_length_a 9.122
_cell_length_b 9.122
_cell_length_c 9.122
_cell_angle_alpha 90.00
_cell_angle_beta 90.00
_cell_angle_gamma 90.00
loop_
_atom_site_label
_atom_site_fract_x
_atom_site_fract_y
_atom_site_fract_z
Cs1 0.250 0.250 0.250
Ga1 0.000 0.000 0.000
F1 0.000 0.000 0.210
```